1.
For CaTbPr5, a structure optimized by DFT (GGA-PBE) gives the computed powder diffraction line list in this record (Cu Kα (weighted mean of Kα1 and Kα2)).

Structural model:
Cell lengths 5.5225, 5.5225, 8.8073 Å; angles 90.00, 90.00, 90.00 degrees
Sites, in units of the cell vectors:
1 Ca 0.0000 0.0000 0.0000
2 Tb 0.0000 0.0000 0.5000
3 Pr 0.0000 0.5000 0.2849
4 Pr 0.0000 0.5000 0.7151
5 Pr 0.5000 0.0000 0.2849
6 Pr 0.5000 0.0000 0.7151
7 Pr 0.5000 0.5000 0.0000

Principal peaks in the range 15 to 90 degrees two-theta, by angle:
| d (Å) | I (rel.) | h k l |
| --- | --- | --- |
| 4.679 | 29 | 1 0 1 |
| 2.922 | 100 | 1 1 2 |
| 2.761 | 48 | 2 0 0 |
| 1.952 | 18 | 2 2 0 |
| 1.722 | 14 | 2 0 4 |
| 1.624 | 38 | 3 1 2 |

2.
For Ca2Tb5Pr4, a structure optimized by DFT (GGA-PBE) gives the computed powder diffraction line list in this record (Cu Kα (weighted mean of Kα1 and Kα2)).

Structural model:
Cell lengths 6.3740, 8.1874, 8.1950 Å; angles 107.48, 105.17, 97.52 degrees
Sites, in units of the cell vectors:
1 Ca 0.1346 0.2296 0.0453
2 Ca 0.8654 0.7704 0.9547
3 Tb 0.3254 0.8616 0.7670
4 Tb 0.4157 0.6859 0.1403
5 Tb 0.5000 0.5000 0.5000
6 Tb 0.5843 0.3141 0.8597
7 Tb 0.6746 0.1384 0.2330
8 Pr 0.0492 0.4091 0.6723
9 Pr 0.2347 0.0482 0.4218
10 Pr 0.7653 0.9518 0.5782
11 Pr 0.9508 0.5909 0.3277

Principal peaks in the range 15 to 90 degrees two-theta, by angle:
| d (Å) | I (rel.) | h k l |
| --- | --- | --- |
| 3.005 | 49 | -2 1 1 |
| 2.992 | 97 | 1 2 -2 |
| 2.985 | 49 | 0 2 1 |
| 2.593 | 100 | 1 -3 1 |
| 1.833 | 24 | -2 3 2 |
| 1.562 | 34 | 1 -5 0 |

3.
For Ca2Tb2Pr, a structure optimized by DFT (GGA-PBE) gives the computed powder diffraction line list in this record (Cu Kα (weighted mean of Kα1 and Kα2)).

Structural model:
Cell lengths 9.5355, 9.5355, 3.9769 Å; angles 90.00, 90.00, 90.00 degrees
Sites, in units of the cell vectors:
1 Ca 0.1718 0.3282 0.0000
2 Ca 0.3282 0.8282 0.0000
3 Ca 0.6718 0.1718 0.0000
4 Ca 0.8282 0.6718 0.0000
5 Tb 0.1259 0.6259 0.5000
6 Tb 0.3741 0.1259 0.5000
7 Tb 0.6259 0.8741 0.5000
8 Tb 0.8741 0.3741 0.5000
9 Pr 0.0000 0.0000 0.5000
10 Pr 0.5000 0.5000 0.5000

Principal peaks in the range 15 to 90 degrees two-theta, by angle:
| d (Å) | I (rel.) | h k l |
| --- | --- | --- |
| 4.264 | 40 | 2 1 0 |
| 3.977 | 46 | 0 0 1 |
| 3.015 | 78 | 3 1 0 |
| 2.908 | 100 | 2 1 1 |
| 2.403 | 49 | 3 1 1 |
| 1.660 | 27 | 3 1 2 |

4.
For CaTb3Pr4, a structure optimized by DFT (GGA-PBE) gives the computed powder diffraction line list in this record (Cu Kα (weighted mean of Kα1 and Kα2)).

Structural model:
Cell lengths 7.3201, 7.3414, 10.3345 Å; angles 90.00, 90.00, 90.00 degrees
Sites, in units of the cell vectors:
1 Ca 0.0000 0.0000 0.0000
2 Ca 0.5000 0.0000 0.5000
3 Tb 0.0000 0.5000 0.0000
4 Tb 0.2500 0.2588 0.2500
5 Tb 0.2500 0.7412 0.7500
6 Tb 0.5000 0.5000 0.5000
7 Tb 0.7500 0.2588 0.2500
8 Tb 0.7500 0.7412 0.7500
9 Pr 0.0000 0.0000 0.5000
10 Pr 0.0000 0.5000 0.5000
11 Pr 0.2500 0.2559 0.7500
12 Pr 0.2500 0.7441 0.2500
13 Pr 0.5000 0.0000 0.0000
14 Pr 0.5000 0.5000 0.0000
15 Pr 0.7500 0.2559 0.7500
16 Pr 0.7500 0.7441 0.2500

Principal peaks in the range 15 to 90 degrees two-theta, by angle:
| d (Å) | I (rel.) | h k l |
| --- | --- | --- |
| 2.990 | 100 | 2 0 2 |
| 2.592 | 34 | 2 2 0 |
| 2.584 | 17 | 0 0 4 |
| 1.830 | 30 | 4 0 0 |
| 1.561 | 21 | 4 2 2 |
| 1.187 | 14 | 6 0 2 |

5.
For CaTb4Pr4, a structure optimized by DFT (GGA-PBE) gives the computed powder diffraction line list in this record (Cu Kα (weighted mean of Kα1 and Kα2)).

Structural model:
Cell lengths 6.7793, 9.1999, 10.7249 Å; angles 105.43, 100.14, 96.71 degrees
Sites, in units of the cell vectors:
1 Ca 0.0030 0.2588 0.2561
2 Ca 0.9970 0.7412 0.7439
3 Tb 0.0604 0.3134 0.9314
4 Tb 0.2742 0.0285 0.0660
5 Tb 0.3355 0.5784 0.2490
6 Tb 0.4502 0.6902 0.5902
7 Tb 0.5498 0.3098 0.4098
8 Tb 0.6645 0.4216 0.7510
9 Tb 0.7258 0.9715 0.9340
10 Tb 0.9396 0.6866 0.0686
11 Pr 0.1287 0.3598 0.6080
12 Pr 0.2225 0.9583 0.3991
13 Pr 0.3314 0.0702 0.7457
14 Pr 0.4039 0.6528 0.9481
15 Pr 0.5961 0.3472 0.0519
16 Pr 0.6686 0.9298 0.2543
17 Pr 0.7775 0.0417 0.6009
18 Pr 0.8713 0.6402 0.3920

Principal peaks in the range 15 to 90 degrees two-theta, by angle:
| d (Å) | I (rel.) | h k l |
| --- | --- | --- |
| 2.930 | 19 | 1 2 -3 |
| 2.916 | 100 | 0 3 0 |
| 2.909 | 48 | 1 -1 3 |
| 2.899 | 49 | -1 1 3 |
| 2.875 | 50 | 2 -2 0 |
| 1.668 | 24 | 3 -3 3 |

6.
For CaTbPr4, a structure optimized by DFT (GGA-PBE) gives the computed powder diffraction line list in this record (Cu Kα (weighted mean of Kα1 and Kα2)).

Structural model:
Cell lengths 3.6685, 5.2782, 11.1713 Å; angles 90.00, 90.00, 90.00 degrees
Sites, in units of the cell vectors:
1 Ca 0.0000 0.0000 0.0000
2 Tb 0.5000 0.5000 0.5000
3 Pr 0.0000 0.0000 0.3396
4 Pr 0.0000 0.0000 0.6604
5 Pr 0.5000 0.5000 0.1803
6 Pr 0.5000 0.5000 0.8197

Principal peaks in the range 15 to 90 degrees two-theta, by angle:
| d (Å) | I (rel.) | h k l |
| --- | --- | --- |
| 3.043 | 100 | 0 1 3 |
| 3.012 | 100 | 1 1 0 |
| 2.639 | 35 | 0 2 0 |
| 2.613 | 66 | 1 0 3 |
| 1.857 | 48 | 1 2 3 |
| 1.571 | 29 | 2 1 3 |